(1)
Cd3HgPt12: simulated X-ray powder pattern (copper Kα), based on DFT lattice parameters and positions (GGA-PBE).

Structure:
Unit cell a=4.0533 b=4.0533 c=16.1217 alpha=90.00 beta=90.00 gamma=90.00
Space group P4/mmm (No. 123)
One atom of each set of equivalent atoms:
Cd 0.0000 0.0000 0.0000 x1
Cd 0.0000 0.0000 0.2492 x2
Hg 0.0000 0.0000 0.5000 x1
Pt 0.0000 0.5000 0.1245 x4
Pt 0.0000 0.5000 0.3733 x4
Pt 0.5000 0.5000 0.0000 x1
Pt 0.5000 0.5000 0.2488 x2
Pt 0.5000 0.5000 0.5000 x1

Largest 10 diffraction maxima, by intensity, 10 to 90 degrees two-theta:
hkl 1 1 4, 38.5°, intensity 100.0
hkl 2 0 0, 44.7°, intensity 33.0
hkl 3 1 4, 78.3°, intensity 25.9
hkl 2 0 8, 65.3°, intensity 21.5
hkl 0 0 8, 45.0°, intensity 16.2
hkl 1 1 12, 78.7°, intensity 12.8
hkl 2 2 8, 82.6°, intensity 11.4
hkl 2 2 0, 65.1°, intensity 10.9
hkl 1 1 0, 31.3°, intensity 1.5
hkl 1 0 0, 21.9°, intensity 1.2

=====

(2)
PuCd8Hg6: simulated X-ray powder pattern (copper Kα), based on DFT lattice parameters and positions (GGA-PBE).

Structure:
Unit cell a=8.5653 b=8.5653 c=18.9943 alpha=90.00 beta=90.00 gamma=120.00
Space group R-3 (No. 148, hexagonal axes)
One atom of each set of equivalent atoms:
Pu 0.0000 0.0000 0.0000 x3
Cd 0.0000 0.0000 0.3487 x6
Cd 0.0219 0.3777 0.2244 x18
Hg 0.0183 0.3046 0.7368 x18

Largest 10 diffraction maxima, by intensity, 10 to 90 degrees two-theta:
hkl 2 -1 6, 35.3°, intensity 100.0
hkl 3 0 0, 36.3°, intensity 89.3
hkl 2 -1 3, 25.1°, intensity 46.9
hkl 2 2 6, 51.5°, intensity 25.0
hkl 2 1 1, 32.3°, intensity 24.3
hkl 5 -4 6, 64.7°, intensity 18.9
hkl 3 0 6, 46.6°, intensity 16.5
hkl 1 1 12, 62.6°, intensity 16.3
hkl 1 1 0, 20.7°, intensity 15.8
hkl 0 0 6, 28.2°, intensity 15.0

=====

(3)
PuCd3Hg4: simulated X-ray powder pattern (copper Kα), based on DFT lattice parameters and positions (GGA-PBE).

Structure:
Unit cell a=9.6778 b=8.2689 c=4.8430 alpha=90.00 beta=90.00 gamma=90.00
Space group Pmma (No. 51)
One atom of each set of equivalent atoms:
Pu 0.0000 0.0000 0.0000 x2
Cd 0.0000 0.5000 0.0000 x2
Cd 0.2500 0.0000 0.4993 x2
Cd 0.2500 0.5000 0.4984 x2
Hg 0.0000 0.2565 0.5000 x4
Hg 0.2500 0.2565 0.9988 x4

Largest 10 diffraction maxima, by intensity, 10 to 90 degrees two-theta:
hkl 2 2 1, 34.0°, intensity 100.0
hkl 4 0 0, 37.1°, intensity 39.6
hkl 6 2 1, 65.0°, intensity 30.9
hkl 4 4 0, 58.7°, intensity 20.7
hkl 4 0 2, 53.5°, intensity 13.9
hkl 0 4 0, 43.8°, intensity 12.3
hkl 4 4 2, 71.6°, intensity 11.6
hkl 2 6 1, 74.2°, intensity 10.4
hkl 6 2 3, 89.0°, intensity 7.0
hkl 8 0 0, 79.1°, intensity 4.5